Simulated X-ray powder pattern
Compound: MgO2
Radiation: a wavelength of 1.5418 Å
Structure: a structure optimized by DFT (GGA-PBE)
No peak broadening, texture or thermal motion is included.

The 7 most intense peaks (2θ from 5° to 70°), sorted by position:
(0 0 3), 25.52 deg, I 13; (1 0 1), 33.40 deg, I 1; (0 1 2), 36.65 deg, I 100; (1 0 4), 47.76 deg, I 8; (0 1 5), 54.93 deg, I 26; (1 1 0), 57.51 deg, I 34; (1 1 3), 63.92 deg, I 7

Atomic structure:
a b c (Å): 3.2050 3.2050 10.4702
angles (deg): 90.00 90.00 120.00
Space group R-3m (No. 166, hexagonal axes)
Asymmetric unit:
Mg 0.0000 0.0000 0.0000 (multiplicity 3)
O 0.0000 0.0000 0.4287 (multiplicity 6)

=====

Simulated X-ray powder pattern
Compound: LiNi8Ir2
Radiation: a wavelength of 1.5418 Å
Structure: a structure optimized by DFT (GGA-PBE)
No peak broadening, texture or thermal motion is included.

The 10 most intense peaks (2θ from 5° to 70°), sorted by position:
(1 1 0), 15.23 deg, I 85; (0 0 1), 22.51 deg, I 53; (2 0 0), 24.14 deg, I 33; (1 3 1), 38.47 deg, I 45; (3 1 1), 44.46 deg, I 87; (0 4 1), 44.61 deg, I 100; (0 0 2), 45.96 deg, I 48; (3 3 0), 46.84 deg, I 40; (3 3 1), 52.57 deg, I 35; (3 3 2), 67.71 deg, I 26

Atomic structure:
a b c (Å): 7.374 9.473 3.950
angles (deg): 90.00 90.00 90.00
Space group Cmmm (No. 65)
Asymmetric unit:
Li 0.000 0.000 0.000 (multiplicity 2)
Ni 0.000 0.234 0.000 (multiplicity 4)
Ni 0.166 0.132 0.500 (multiplicity 8)
Ni 0.168 0.500 0.000 (multiplicity 4)
Ir 0.000 0.369 0.500 (multiplicity 4)

=====

Simulated X-ray powder pattern
Compound: H2PdRh
Radiation: a wavelength of 1.5418 Å
Structure: a structure optimized by DFT (GGA-PBE)
No peak broadening, texture or thermal motion is included.

The 6 most intense peaks (2θ from 5° to 70°), sorted by position:
(0 0 2), 35.14 deg, I 32; (1 0 0), 35.88 deg, I 24; (0 1 1), 40.12 deg, I 100; (1 0 2), 51.09 deg, I 17; (1 1 0), 64.48 deg, I 16; (0 1 3), 66.41 deg, I 22

Atomic structure:
a b c (Å): 2.8904 2.8904 5.1075
angles (deg): 90.00 90.00 120.00
Space group P3m1 (No. 156)
Asymmetric unit:
H 0.0000 0.0000 0.0000 (multiplicity 1)
H 0.3333 0.6667 0.5165 (multiplicity 1)
Pd 0.3333 0.6667 0.1585 (multiplicity 1)
Rh 0.0000 0.0000 0.6610 (multiplicity 1)

=====

Simulated X-ray powder pattern
Compound: Pr5Tm2In2
Radiation: a wavelength of 1.5418 Å
Structure: a structure optimized by DFT (GGA-PBE)
No peak broadening, texture or thermal motion is included.

The 10 most intense peaks (2θ from 5° to 70°), sorted by position:
(4 2 0), 27.83 deg, I 86; (3 1 2), 30.27 deg, I 39; (4 0 2), 30.77 deg, I 100; (0 2 2), 32.80 deg, I 74; (7 1 0), 33.42 deg, I 53; (3 3 0), 34.75 deg, I 24; (0 0 4), 50.89 deg, I 19; (7 3 2), 52.54 deg, I 33; (11 1 2), 58.37 deg, I 18; (4 2 4), 58.99 deg, I 20

Atomic structure:
a b c (Å): 19.812 8.413 7.178
angles (deg): 90.00 90.00 90.00
Space group Ima2 (No. 46)
Asymmetric unit:
Pr 0.106 0.239 0.000 (multiplicity 8)
Pr 0.160 0.747 0.998 (multiplicity 8)
Pr 0.250 0.046 0.249 (multiplicity 4)
Tm 0.000 0.000 0.732 (multiplicity 4)
Tm 0.250 0.064 0.749 (multiplicity 4)
In 0.042 0.626 0.748 (multiplicity 8)

=====

Simulated X-ray powder pattern
Compound: SrGaCuNi
Radiation: a wavelength of 1.5418 Å
Structure: a structure optimized by DFT (GGA-PBE)
No peak broadening, texture or thermal motion is included.

The 10 most intense peaks (2θ from 5° to 70°), sorted by position:
(0 0 1), 16.77 deg, I 74; (2 0 -1), 24.92 deg, I 32; (1 1 1), 33.28 deg, I 93; (0 0 2), 33.92 deg, I 69; (1 1 -2), 37.53 deg, I 34; (3 1 -1), 42.63 deg, I 100; (0 2 0), 42.83 deg, I 49; (3 1 -3), 55.56 deg, I 64; (0 2 2), 55.72 deg, I 32; (1 1 3), 63.96 deg, I 32

Atomic structure:
a b c (Å): 7.357 4.223 5.824
angles (deg): 90.00 114.83 90.00
Space group Cm (No. 8)
Asymmetric unit:
Sr 0.000 0.000 0.000 (multiplicity 2)
Ga 0.491 0.000 0.476 (multiplicity 2)
Cu 0.188 0.000 0.567 (multiplicity 2)
Ni 0.311 0.500 0.436 (multiplicity 2)

=====

Simulated X-ray powder pattern
Compound: K3Li2HgF8
Radiation: a wavelength of 1.5418 Å
Structure: a structure optimized by DFT (GGA-PBE)
No peak broadening, texture or thermal motion is included.

The 10 most intense peaks (2θ from 5° to 70°), sorted by position:
(0 0 1), 11.60 deg, I 100; (1 0 0), 17.05 deg, I 100; (0 1 1), 20.68 deg, I 94; (0 1 2), 29.04 deg, I 84; (1 1 0), 29.76 deg, I 83; (2 0 1), 36.52 deg, I 33; (1 1 2), 38.15 deg, I 56; (0 1 3), 39.46 deg, I 29; (2 0 2), 42.06 deg, I 55; (1 2 2), 52.38 deg, I 32

Atomic structure:
a b c (Å): 6.0039 6.0039 7.6266
angles (deg): 90.00 90.00 120.00
Space group P-3m1 (No. 164)
Asymmetric unit:
K 0.0000 0.0000 0.0000 (multiplicity 1)
K 0.3333 0.6667 0.6496 (multiplicity 2)
Li 0.3333 0.6667 0.2088 (multiplicity 2)
Hg 0.0000 0.0000 0.5000 (multiplicity 1)
F 0.1704 0.3409 0.3202 (multiplicity 6)
F 0.3333 0.6667 0.9748 (multiplicity 2)

=====

Simulated X-ray powder pattern
Compound: La6Tb2Y5
Radiation: a wavelength of 1.5418 Å
Structure: a structure optimized by DFT (GGA-PBE)
No peak broadening, texture or thermal motion is included.

The 10 most intense peaks (2θ from 5° to 70°), sorted by position:
(1 2 1), 26.81 deg, I 16; (4 1 0), 30.54 deg, I 50; (1 7 0), 30.71 deg, I 100; (3 5 0), 31.12 deg, I 17; (2 3 1), 31.41 deg, I 92; (2 4 1), 33.43 deg, I 32; (3 3 1), 35.82 deg, I 37; (0 0 2), 49.68 deg, I 18; (4 1 2), 59.44 deg, I 19; (1 7 2), 59.57 deg, I 17

Atomic structure:
a b c (Å): 11.824 21.000 3.670
angles (deg): 90.00 90.00 90.00
Space group Pbam (No. 55)
Asymmetric unit:
La 0.062 0.079 0.000 (multiplicity 4)
La 0.080 0.366 0.000 (multiplicity 4)
La 0.172 0.635 0.500 (multiplicity 4)
Tb 0.165 0.790 0.000 (multiplicity 4)
Y 0.000 0.500 0.500 (multiplicity 2)
Y 0.094 0.226 0.500 (multiplicity 4)
Y 0.199 0.942 0.500 (multiplicity 4)

=====

Simulated X-ray powder pattern
Compound: BaGa2Br8
Radiation: a wavelength of 1.5418 Å
Structure: a structure optimized by DFT (GGA-PBE)
No peak broadening, texture or thermal motion is included.

The 10 most intense peaks (2θ from 5° to 70°), sorted by position:
(1 1 0), 10.84 deg, I 57; (0 2 0), 17.43 deg, I 37; (1 1 1), 17.91 deg, I 21; (2 0 1), 20.23 deg, I 35; (2 2 -1), 23.82 deg, I 100; (3 1 1), 27.21 deg, I 44; (2 2 -2), 31.66 deg, I 22; (3 3 -1), 33.78 deg, I 22; (1 3 2), 38.81 deg, I 19; (5 3 0), 42.50 deg, I 37

Atomic structure:
a b c (Å): 14.006 10.174 7.078
angles (deg): 90.00 102.86 90.00
Space group C2/m (No. 12)
Asymmetric unit:
Ba 0.000 0.000 0.000 (multiplicity 2)
Ga 0.208 0.000 0.675 (multiplicity 4)
Br 0.120 0.187 0.752 (multiplicity 8)
Br 0.130 0.500 0.156 (multiplicity 4)
Br 0.204 0.000 0.336 (multiplicity 4)

=====

> What is the formula in the fifth record?

SrGaCuNi